Computed PXRD pattern of NaMnH2C3O7 for Cu Kα (λ = 1.5418 Å), from a cell relaxed with PBE+U.

Structure:
```
56
Lattice="6.0120 0.0000 0.0000 0.0000 16.0538 0.0000 -1.4387 0.0000 7.3354" Properties=species:S:1:pos:R:3 pbc="T T T"
Na -0.1000 2.8780 1.4934
Na -0.8194 5.1489 5.1611
Na 5.3926 10.9049 2.1744
Na 4.6732 13.1758 5.8421
Mn 0.2301 1.6586 5.7831
Mn 0.9494 6.3683 2.1153
Mn 3.6238 9.6855 5.2201
Mn 4.3432 14.3952 1.5524
H 1.7390 0.4073 1.0176
H 1.0197 7.6196 4.6853
H 2.5076 1.8336 1.0737
H 1.7882 6.1933 4.7414
H 2.7850 9.8606 2.5940
H 2.0656 14.2202 6.2617
H 3.5536 8.4342 2.6501
H 2.8342 15.6465 6.3178
C -0.0737 8.6042 0.5088
C -0.7931 15.4765 4.1765
C 0.7523 10.5536 5.1657
C 1.4717 13.5271 1.4980
C 1.5915 11.8318 5.4837
C 2.3109 12.2489 1.8160
C 2.2623 3.8049 5.5194
C 2.9817 4.2220 1.8517
C 3.1016 2.5267 5.8374
C 3.8209 5.5002 2.1697
C 5.3663 0.5773 3.1589
C 4.6470 7.4496 6.8267
O -0.4729 10.7272 4.8786
O 0.2465 13.3535 1.2109
O -0.1498 1.6638 3.5858
O -0.8692 6.3631 7.2535
O 0.3036 8.3906 1.7011
O -0.4158 15.6901 5.3688
O 1.7457 1.3301 0.6626
O 1.0264 6.6968 4.3303
O 0.9970 3.6668 5.5966
O 1.7164 4.3601 1.9289
O 1.7079 11.1887 2.1335
O 0.9885 12.8920 5.8012
O 1.3748 9.4471 5.2174
O 2.0941 14.6336 1.5497
O 2.4791 1.4202 5.7857
O 3.1984 6.6067 2.1180
O 3.5847 3.1618 1.5342
O 2.8653 4.8651 5.2020
O 2.8568 11.6937 5.4065
O 3.5762 12.3870 1.7388
O 3.5468 9.3570 3.0051
O 2.8275 14.7237 6.6728
O 4.9890 0.3637 1.9666
O 4.2696 7.6632 5.6343
O 5.4424 9.6907 0.0819
O 4.7230 14.3900 3.7496
O 4.3267 2.7003 6.1246
O 5.0461 5.3266 2.4569
```

Largest 10 diffraction maxima, sorted by position, 10° ≤ 2θ ≤ 90°:
two_theta  I (rel.)  h k l
16.4  78  0 2 1
18.2  72  1 1 -1
22.4  46  1 3 0
24.3  100  0 0 2
30.9  25  2 1 -1
32.4  31  2 2 -1
35.7  21  0 6 1
37.2  21  0 1 3
42.3  20  1 7 0
46.9  20  0 8 1